Record 1
Structure and theoretical powder XRD pattern of MgSi (a GGA-PBE-relaxed structure; Cu Kα, 1.54184 Å).
No peak broadening, texture or thermal motion is included.

Structure:
Cell: 5.4176 5.8901 14.0243 Å, 95.80 93.80 90.79°
Space group P-1 (No. 2)
One atom of each set of equivalent atoms:
Mg1 0.0093 0.2562 0.0650 x2
Mg2 0.1125 0.2406 0.5967 x2
Mg3 0.2028 0.7428 0.5949 x2
Mg4 0.2313 0.1425 0.2621 x2
Mg5 0.3807 0.6480 0.2738 x2
Mg6 0.4856 0.2410 0.9322 x2
Si1 0.0308 0.7764 0.1316 x2
Si2 0.1489 0.5106 0.7697 x2
Si3 0.2609 0.0050 0.7702 x2
Si4 0.3235 0.4345 0.4399 x2
Si5 0.3266 0.0117 0.4424 x2
Si6 0.4816 0.7165 0.8726 x2

The 12 most intense peaks (10 to 90 degrees two-theta), by angle:
31.88°, d = 2.807 Å, I 48, (0 2 1)
34.23°, d = 2.620 Å, I 99, (2 0 1)
34.47°, d = 2.602 Å, I 52, (0 2 -3)
34.78°, d = 2.579 Å, I 66, (2 0 -2)
36.47°, d = 2.464 Å, I 45, (1 1 4)
37.65°, d = 2.389 Å, I 66, (-1 2 2)
38.09°, d = 2.362 Å, I 100, (0 2 -4)
38.80°, d = 2.321 Å, I 84, (0 0 6)
41.28°, d = 2.187 Å, I 31, (1 0 -6)
42.43°, d = 2.130 Å, I 55, (1 2 3)
43.79°, d = 2.067 Å, I 43, (2 0 4)
45.16°, d = 2.008 Å, I 66, (2 0 -5)

=====

Record 2
Structure and theoretical powder XRD pattern of CaSmAl3O7 (a GGA-PBE-relaxed structure; Cu Kα, 1.54184 Å).
No peak broadening, texture or thermal motion is included.

Structure:
Cell: 10.9815 11.0799 5.1405 Å, 90.00 90.00 90.00°
Space group Cmm2 (No. 35)
One atom of each set of equivalent atoms:
Ca1 0.1604 0.0000 0.0000 x4
Sm1 0.0000 0.3375 0.9714 x4
Al1 0.0000 0.1435 0.5262 x4
Al2 0.1440 0.5000 0.4418 x4
Al3 0.2500 0.2500 0.4804 x4
O1 0.0000 0.0000 0.6698 x2
O2 0.0000 0.1483 0.1879 x4
O3 0.0000 0.5000 0.2872 x2
O4 0.1234 0.2186 0.6826 x8
O5 0.1342 0.5000 0.7811 x4
O6 0.2114 0.3747 0.2830 x8

The 12 most intense peaks (10 to 90 degrees two-theta), by angle:
11.34°, d = 7.800 Å, I 38, (1 1 0)
16.14°, d = 5.491 Å, I 45, (2 0 0)
17.25°, d = 5.141 Å, I 20, (0 0 1)
20.69°, d = 4.292 Å, I 20, (1 1 1)
23.71°, d = 3.753 Å, I 54, (2 0 1)
28.73°, d = 3.107 Å, I 34, (2 2 1)
30.90°, d = 2.893 Å, I 100, (1 3 1)
31.06°, d = 2.879 Å, I 58, (3 1 1)
38.82°, d = 2.320 Å, I 21, (3 3 1)
43.69°, d = 2.072 Å, I 24, (1 3 2)
51.40°, d = 1.778 Å, I 22, (4 2 2)
60.15°, d = 1.538 Å, I 23, (1 3 3)